1.
Calculated X-ray diffraction stick pattern of CsF for Cu Kα, 1.54184 Å, from the PBE geometry in Alexandria.
Kinematic intensities with the Lorentz-polarization factor, no thermal factor.

Crystal structure
Lattice parameters (Å, degrees): 9.0687 9.0687 9.0687 90.00 90.00 90.00
Atoms (fractional coordinates):
Cs (0.1635, 0.1635, 0.8365)
Cs (0.1635, 0.8365, 0.1635)
Cs (0.3365, 0.3365, 0.3365)
Cs (0.3365, 0.6635, 0.6635)
Cs (0.6635, 0.3365, 0.6635)
Cs (0.6635, 0.6635, 0.3365)
Cs (0.8365, 0.1635, 0.1635)
Cs (0.8365, 0.8365, 0.8365)
F (0.1559, 0.1559, 0.1559)
F (0.1559, 0.8441, 0.8441)
F (0.3441, 0.3441, 0.6559)
F (0.3441, 0.6559, 0.3441)
F (0.6559, 0.3441, 0.3441)
F (0.6559, 0.6559, 0.6559)
F (0.8441, 0.1559, 0.8441)
F (0.8441, 0.8441, 0.1559)

Principal peaks in the range 2θ from 10° to 90°, sorted by position:
2θ (°), I (rel.), index
13.8, 58, 1 1 0
19.6, 36, 2 0 0
24.0, 100, 2 1 1
31.2, 58, 3 1 0
37.1, 15, 3 2 1
42.3, 66, 3 3 0
49.2, 15, 4 2 2
55.5, 22, 5 2 1
59.4, 15, 4 3 3
77.3, 27, 6 3 3



2.
Calculated X-ray diffraction stick pattern of CsF3 for Cu Kα, 1.54184 Å, from the PBE geometry in Alexandria.
Kinematic intensities with the Lorentz-polarization factor, no thermal factor.

Crystal structure
Lattice parameters (Å, degrees): 6.1634 7.8351 8.1495 90.00 90.00 90.00
Atoms (fractional coordinates):
Cs (0.0000, 0.0000, 0.0000)
Cs (0.0000, 0.5000, 0.5000)
Cs (0.5000, 0.0000, 0.5000)
Cs (0.5000, 0.5000, 0.0000)
F (0.0000, 0.0000, 0.5000)
F (0.0000, 0.1515, 0.3447)
F (0.0000, 0.3485, 0.8447)
F (0.0000, 0.5000, 0.0000)
F (0.0000, 0.6515, 0.1553)
F (0.0000, 0.8485, 0.6553)
F (0.5000, 0.0000, 0.0000)
F (0.5000, 0.1515, 0.1553)
F (0.5000, 0.3485, 0.6553)
F (0.5000, 0.5000, 0.5000)
F (0.5000, 0.6515, 0.3447)
F (0.5000, 0.8485, 0.8447)

Principal peaks in the range 2θ from 10° to 90°, sorted by position:
2θ (°), I (rel.), index
21.3, 100, 1 1 1
21.8, 48, 0 0 2
22.7, 45, 0 2 0
29.0, 47, 2 0 0
31.7, 49, 0 2 2
36.6, 25, 2 0 2
37.1, 25, 2 2 0
38.0, 43, 1 1 3
39.1, 39, 1 3 1
43.5, 39, 2 2 2



3.
Calculated X-ray diffraction stick pattern of CsF3 for Cu Kα, 1.54184 Å, from the PBE geometry in Alexandria.
Kinematic intensities with the Lorentz-polarization factor, no thermal factor.

Crystal structure
Lattice parameters (Å, degrees): 5.2176 5.3811 6.5210 92.43 106.04 94.50
Atoms (fractional coordinates):
Cs (0.1903, 0.2819, 0.2664)
Cs (0.8097, 0.7181, 0.7336)
F (0.2359, 0.7729, 0.5101)
F (0.3291, 0.0384, 0.7013)
F (0.4174, 0.2944, 0.8736)
F (0.5826, 0.7056, 0.1264)
F (0.6709, 0.9616, 0.2987)
F (0.7641, 0.2271, 0.4899)

Principal peaks in the range 2θ from 10° to 90°, sorted by position:
2θ (°), I (rel.), index
19.4, 46, 1 0 -1
21.1, 61, 0 1 -1
22.6, 77, 0 1 1
23.2, 49, 1 -1 0
25.5, 63, 1 1 0
25.8, 48, 1 0 1
28.5, 46, 0 0 2
29.3, 41, 1 -1 1
33.5, 100, 1 1 -2
34.8, 43, 2 0 -1